Record 1
The following is a simulated powder diffractogram of Sc4CuSiC2. It was derived from DFT lattice parameters and positions (PBE), using a wavelength of 1.5418 Å.
No peak broadening, texture or thermal motion is included.

Largest 10 diffraction maxima, in order of falling intensity, 2θ = 10–90°:
- 2θ 37.08, d 2.424, I 100.0
- 2θ 55.15, d 1.665, I 21.9
- 2θ 31.00, d 2.885, I 21.5
- 2θ 51.72, d 1.768, I 15.2
- 2θ 70.50, d 1.336, I 14.3
- 2θ 68.33, d 1.373, I 14.3
- 2θ 40.32, d 2.237, I 14.0
- 2θ 71.18, d 1.325, I 11.4
- 2θ 33.82, d 2.650, I 5.0
- 2θ 78.99, d 1.212, I 3.8

```
8
Lattice="3.331 0.000 0.000 -1.665 2.885 0.000 0.000 0.000 13.420" Properties=species:S:1:pos:R:3 pbc="T T T"
Sc 0.000 0.000 2.098
Sc 0.000 0.000 11.322
Sc 1.665 0.962 4.559
Sc 1.665 0.962 8.861
Cu 1.665 0.962 0.000
Si 0.000 0.000 6.710
C 0.000 1.923 3.270
C 0.000 1.923 10.150
```

Record 2
The following is a simulated powder diffractogram of Y4Sc2Cu3C3. It was derived from DFT lattice parameters and positions (PBE), using a wavelength of 1.5418 Å.
No peak broadening, texture or thermal motion is included.

Largest 10 diffraction maxima, in order of falling intensity, 2θ = 10–90°:
- 2θ 34.87, d 2.573, I 100.0
- 2θ 37.15, d 2.420, I 32.2
- 2θ 16.97, d 5.223, I 16.1
- 2θ 17.33, d 5.117, I 13.4
- 2θ 30.05, d 2.974, I 12.7
- 2θ 29.40, d 3.038, I 12.6
- 2θ 65.51, d 1.425, I 12.5
- 2θ 52.14, d 1.754, I 12.2
- 2θ 61.36, d 1.511, I 12.1
- 2θ 38.65, d 2.330, I 11.9

```
24
Lattice="5.265 -3.037 0.000 5.265 3.037 0.000 -3.483 0.000 14.520" Properties=species:S:1:pos:R:3 pbc="T T T"
Y 0.877 0.494 1.339
Y 0.879 0.513 5.922
Y -0.865 -0.494 8.599
Y -0.862 -0.513 13.182
Y 7.909 0.513 1.338
Y 7.912 0.494 5.921
Y 6.168 -0.513 8.598
Y 6.171 -0.494 13.181
Sc 4.385 0.508 1.234
Sc 4.404 0.508 6.026
Sc 2.643 -0.508 8.494
Sc 2.663 -0.508 13.286
Cu 2.653 2.612 10.890
Cu 0.132 0.955 10.892
Cu 1.874 -0.955 3.632
Cu 5.174 0.955 10.888
Cu 6.915 -0.955 3.628
Cu 4.394 -2.612 3.630
C 2.632 1.518 0.000
C 2.706 1.417 7.257
C 6.083 1.417 0.003
C 0.891 -1.518 7.260
C 0.964 -1.417 14.517
C 4.342 -1.417 7.263
```

Record 3
The following is a simulated powder diffractogram of Cu2CSe3. It was derived from DFT lattice parameters and positions (PBE), using a wavelength of 1.5418 Å.
No peak broadening, texture or thermal motion is included.

Largest 10 diffraction maxima, in order of falling intensity, 2θ = 10–90°:
- 2θ 29.36, d 3.042, I 100.0
- 2θ 26.65, d 3.345, I 69.8
- 2θ 45.83, d 1.980, I 52.7
- 2θ 29.54, d 3.024, I 50.8
- 2θ 49.52, d 1.841, I 43.4
- 2θ 46.51, d 1.953, I 25.5
- 2θ 49.69, d 1.835, I 18.9
- 2θ 54.30, d 1.690, I 17.0
- 2θ 57.59, d 1.601, I 12.7
- 2θ 56.63, d 1.625, I 12.4

```
12
Lattice="3.193 -5.504 0.000 3.193 5.504 0.000 -2.269 0.000 6.690" Properties=species:S:1:pos:R:3 pbc="T T T"
Cu 2.058 4.610 3.345
Cu 3.205 2.744 0.011
Cu 2.070 -2.744 3.356
Cu 3.193 -4.610 0.000
C 2.033 0.904 4.034
C 3.168 -0.904 0.689
Se 1.106 2.565 4.256
Se 2.240 0.703 0.803
Se 1.106 -0.703 4.148
Se 2.240 -2.565 0.911
Se 3.949 0.928 4.250
Se 5.083 -0.928 0.905
```

Record 4
The following is a simulated powder diffractogram of CuSnW4C2. It was derived from DFT lattice parameters and positions (PBE), using a wavelength of 1.5418 Å.
No peak broadening, texture or thermal motion is included.

Largest 10 diffraction maxima, in order of falling intensity, 2θ = 10–90°:
- 2θ 39.01, d 2.309, I 100.0
- 2θ 33.07, d 2.709, I 24.9
- 2θ 59.06, d 1.564, I 21.7
- 2θ 74.32, d 1.276, I 17.2
- 2θ 40.88, d 2.208, I 16.3
- 2θ 73.07, d 1.295, I 16.1
- 2θ 53.55, d 1.711, I 12.6
- 2θ 13.37, d 6.623, I 11.5
- 2θ 73.19, d 1.293, I 10.9
- 2θ 33.80, d 2.652, I 9.3

```
8
Lattice="3.128 0.000 0.000 -1.564 2.709 0.000 0.000 0.000 13.245" Properties=species:S:1:pos:R:3 pbc="T T T"
Cu 0.000 0.000 0.000
Sn 0.000 1.806 6.623
W 0.000 0.000 4.279
W 0.000 0.000 8.967
W 0.000 1.806 2.014
W 0.000 1.806 11.231
C 1.564 0.903 3.152
C 1.564 0.903 10.094
```

Record 5
The following is a simulated powder diffractogram of Ta4CuC3. It was derived from DFT lattice parameters and positions (PBE), using a wavelength of 1.5418 Å.
No peak broadening, texture or thermal motion is included.

Largest 10 diffraction maxima, in order of falling intensity, 2θ = 10–90°:
- 2θ 40.29, d 2.239, I 100.0
- 2θ 38.19, d 2.356, I 65.0
- 2θ 58.97, d 1.566, I 44.1
- 2θ 33.89, d 2.645, I 40.7
- 2θ 36.40, d 2.468, I 37.1
- 2θ 37.83, d 2.378, I 33.9
- 2θ 72.23, d 1.308, I 31.3
- 2θ 72.50, d 1.304, I 27.2
- 2θ 34.96, d 2.567, I 22.7
- 2θ 57.60, d 1.600, I 21.9

```
16
Lattice="3.133 0.000 0.000 -1.566 2.713 0.000 0.000 0.000 23.779" Properties=species:S:1:pos:R:3 pbc="T T T"
Ta 0.000 0.000 3.833
Ta 0.000 0.000 8.056
Ta 0.000 0.000 15.723
Ta 0.000 0.000 19.946
Ta 0.000 1.809 1.339
Ta 0.000 1.809 10.550
Ta 1.566 0.904 13.229
Ta 1.566 0.904 22.440
Cu 0.000 1.809 5.945
Cu 1.566 0.904 17.834
C 0.000 0.000 0.000
C 0.000 0.000 11.890
C 0.000 1.809 14.530
C 0.000 1.809 21.139
C 1.566 0.904 2.641
C 1.566 0.904 9.249
```

Record 6
The following is a simulated powder diffractogram of CuW2C. It was derived from DFT lattice parameters and positions (PBE), using a wavelength of 1.5418 Å.
No peak broadening, texture or thermal motion is included.

Largest 10 diffraction maxima, in order of falling intensity, 2θ = 10–90°:
- 2θ 39.92, d 2.258, I 100.0
- 2θ 33.76, d 2.655, I 24.0
- 2θ 60.39, d 1.533, I 20.7
- 2θ 76.34, d 1.247, I 18.6
- 2θ 42.08, d 2.147, I 17.8
- 2θ 13.75, d 6.442, I 16.5
- 2θ 74.88, d 1.268, I 15.7
- 2θ 75.45, d 1.260, I 14.1
- 2θ 55.00, d 1.669, I 13.8
- 2θ 34.49, d 2.600, I 12.2

```
24
Lattice="4.598 -2.655 0.000 4.598 2.655 0.000 -3.057 0.000 12.883" Properties=species:S:1:pos:R:3 pbc="T T T"
Cu 2.305 2.227 9.662
Cu 2.290 0.450 3.220
Cu 0.762 -0.450 9.662
Cu 5.377 0.450 3.221
Cu 3.849 -0.450 9.663
Cu 3.834 -2.227 3.221
W -0.763 0.444 7.588
W -0.758 0.442 11.737
W 0.766 -0.444 1.147
W 0.771 -0.442 5.295
W 2.304 0.442 7.594
W 2.307 0.442 11.731
W 3.832 -0.442 1.152
W 3.835 -0.442 5.290
W 5.368 0.442 7.588
W 5.373 0.444 11.736
W 6.897 -0.442 1.146
W 6.902 -0.444 5.295
C 0.770 1.327 6.442
C 0.776 1.324 12.883
C 3.835 1.324 6.442
C 2.299 -1.327 0.000
C 2.304 -1.324 6.441
C 5.364 -1.324 0.000
```